Record 1
Structure and theoretical X-ray diffraction stick pattern of FePCl8 (DFT lattice parameters and positions (GGA-PBE); a wavelength of 1.5418 Å).

Crystal structure
Cell lengths 6.425, 14.619, 14.191 Å; angles 90.00, 90.00, 90.00 degrees
Space group Pbcm (No. 57)
Asymmetric unit:
Fe: 0.197 0.012 0.250
P: 0.458 0.750 0.000
Cl: 0.081 0.555 0.621
Cl: 0.102 0.159 0.250
Cl: 0.281 0.695 0.097
Cl: 0.364 0.156 0.557
Cl: 0.461 0.505 0.250

Peak list (6 most intense, 2θ from 5° to 70°, sorted by position)
2θ 16.31, I 32, (1 1 1); 2θ 17.42, I 100, (0 2 2); 2θ 22.28, I 31, (1 2 2); 2θ 23.76, I 34, (1 3 1); 2θ 24.14, I 28, (1 1 3); 2θ 29.15, I 41, (2 1 1)

Record 2
Structure and theoretical X-ray diffraction stick pattern of Pa6FeCl15 (DFT lattice parameters and positions (GGA-PBE); a wavelength of 1.5418 Å).

Crystal structure
Cell lengths 11.029, 11.029, 11.029 Å; angles 90.00, 90.00, 90.00 degrees
Space group Im-3m (No. 229)
Asymmetric unit:
Pa: 0.000 0.000 0.240
Fe: 0.000 0.000 0.000
Cl: 0.000 0.000 0.500
Cl: 0.000 0.248 0.248

Peak list (6 most intense, 2θ from 5° to 70°, sorted by position)
2θ 11.35, I 100, (1 1 0); 2θ 19.72, I 29, (2 1 1); 2θ 30.32, I 33, (3 2 1); 2θ 32.47, I 58, (4 0 0); 2θ 41.76, I 24, (5 1 0); 2θ 46.58, I 41, (4 4 0)

Record 3
Structure and theoretical X-ray diffraction stick pattern of Fe2PbCl8 (DFT lattice parameters and positions (GGA-PBE); a wavelength of 1.5418 Å).

Crystal structure
Cell lengths 13.247, 9.037, 6.636 Å; angles 90.00, 99.55, 90.00 degrees
Space group C2/m (No. 12)
Asymmetric unit:
Fe: 0.196 0.000 0.156
Pb: 0.000 0.000 0.500
Cl: 0.113 0.194 0.264
Cl: 0.144 0.500 0.715
Cl: 0.182 0.000 0.816

Peak list (6 most intense, 2θ from 5° to 70°, sorted by position)
2θ 11.91, I 100, (1 1 0); 2θ 18.90, I 41, (1 1 1); 2θ 19.65, I 30, (0 2 0); 2θ 20.75, I 26, (2 0 1); 2θ 26.44, I 44, (2 2 -1); 2θ 28.22, I 22, (3 1 1)

Record 4
Structure and theoretical X-ray diffraction stick pattern of FePdCl4 (DFT lattice parameters and positions (GGA-PBE); a wavelength of 1.5418 Å).

Crystal structure
Cell lengths 7.324, 7.324, 6.315 Å; angles 90.00, 90.00, 90.00 degrees
Space group I-4 (No. 82)
Asymmetric unit:
Fe: 0.000 0.000 0.000
Pd: 0.000 0.500 0.250
Cl: 0.132 0.203 0.218

Peak list (6 most intense, 2θ from 5° to 70°, sorted by position)
2θ 18.55, I 100, (1 0 1); 2θ 30.75, I 39, (2 1 1); 2θ 33.23, I 20, (1 1 2); 2θ 34.64, I 13, (2 2 0); 2θ 46.99, I 19, (3 2 1); 2θ 48.76, I 31, (3 1 2)